Structure and computed powder diffractogram of MnH4Br3N (DFT lattice parameters and positions (PBE); Cu Ka).

Cell and atoms:
a b c (Å): 6.5211 7.6813 13.3401
angles (deg): 90.16 90.45 90.01
Space group P1 (No. 1)
Asymmetric unit:
Mn1 0.0000 0.0000 0.0000
Mn2 0.0138 0.5013 0.4990
Mn3 0.4985 0.9995 0.9995
Mn4 0.5134 0.5014 0.5000
H1 0.0087 0.4888 0.8280
H2 0.0183 0.0036 0.3386
H3 0.2076 0.6267 0.8402
H4 0.2136 0.4251 0.8957
H5 0.2177 0.9436 0.2671
H6 0.2264 0.4424 0.7678
H7 0.2282 0.1302 0.3379
H8 0.2318 0.9308 0.3955
H9 0.5217 0.9989 0.6605
H10 0.7221 0.0587 0.7338
H11 0.7321 0.8727 0.6626
H12 0.7345 0.0724 0.6056
H13 0.7843 0.5579 0.2330
H14 0.7857 0.5749 0.1048
H15 0.7905 0.3733 0.1601
H16 0.9945 0.5065 0.1674
Br1 0.2308 0.9364 0.8503
Br2 0.2354 0.2558 0.0438
Br3 0.2393 0.8038 0.1082
Br4 0.2634 0.4373 0.3424
Br5 0.2660 0.7697 0.5464
Br6 0.2679 0.2990 0.6105
Br7 0.7605 0.7044 0.3893
Br8 0.7615 0.1964 0.8919
Br9 0.7640 0.7445 0.9563
Br10 0.7647 0.2330 0.4535
Br11 0.7681 0.0635 0.1489
Br12 0.7681 0.5662 0.6564
N1 0.1664 0.4960 0.8331
N2 0.1761 0.0019 0.3346
N3 0.6795 0.0008 0.6659
N4 0.8364 0.5029 0.1664

Peak list (8 most intense, 5° ≤ 2θ ≤ 70°, by intensity)
- d 6.661, I 100, (0 1 1)
- d 2.963, I 41, (-1 2 2)
- d 2.975, I 26, (1 2 -2)
- d 3.313, I 26, (1 2 0)
- d 3.260, I 22, (2 0 0)
- d 1.846, I 18, (0 4 -2)
- d 2.324, I 18, (2 -2 2)
- d 3.304, I 18, (1 -1 3)

=====

Structure and computed powder diffractogram of TbPr4Sm3 (DFT lattice parameters and positions (PBE); Cu Ka).

Cell and atoms:
a b c (Å): 10.3803 7.3175 7.3177
angles (deg): 90.00 90.00 90.00
Space group Pmna (No. 53)
Asymmetric unit:
Tb1 0.0000 0.0000 0.0000
Pr1 0.0000 0.0000 0.5000
Pr2 0.0000 0.5000 0.0000
Pr3 0.2500 0.2490 0.2500
Sm1 0.0000 0.5000 0.5000
Sm2 0.2500 0.2491 0.7500

Peak list (7 most intense, 5° ≤ 2θ ≤ 70°, by intensity)
- d 2.990, I 100, (2 2 0)
- d 1.831, I 36, (4 2 2)
- d 2.587, I 34, (0 2 2)
- d 1.561, I 29, (2 4 2)
- d 2.595, I 17, (4 0 0)
- d 1.564, I 15, (6 2 0)
- d 1.495, I 12, (4 4 0)

=====

Structure and computed powder diffractogram of LiMg2H6 (DFT lattice parameters and positions (PBE); Cu Ka).

Cell and atoms:
a b c (Å): 3.3229 3.3341 7.7077
angles (deg): 89.88 89.96 60.34
Space group P-1 (No. 2)
Asymmetric unit:
Li1 0.0000 0.0000 0.0000
Mg1 0.3339 0.3343 0.6779
H1 0.0006 0.0006 0.7479
H2 0.3331 0.3317 0.4163
H3 0.3331 0.3364 0.9301

Peak list (8 most intense, 5° ≤ 2θ ≤ 70°, by intensity)
- d 2.703, I 100, (1 0 1)
- d 7.708, I 91, (0 0 1)
- d 2.713, I 87, (0 1 1)
- d 2.694, I 73, (1 1 -1)
- d 2.309, I 72, (1 0 -2)
- d 2.569, I 64, (0 0 3)
- d 3.854, I 42, (0 0 2)
- d 2.314, I 38, (0 1 -2)